Entry 1:
Computed PXRD pattern
Compound: Sm2SiTeO4
Radiation: Cu Ka
Structure: DFT lattice parameters and positions (PBE)
Kinematic intensities with the Lorentz-polarization factor, no thermal factor.

Peak list (8 most intense, 2θ from 10° to 90°, sorted by position)
2θ/deg, I_rel
26.52, 100
28.12, 62
28.94, 69
30.04, 77
31.05, 35
32.26, 65
37.09, 43
44.54, 43

```
Sm2SiTeO4
1.0
9.7315 0.0000 0.0000
0.0000 6.3458 0.0000
-0.7437 0.0000 8.5887
Sm Si Te O
8 4 4 16
Direct
0.1083 0.1538 0.1935 Sm
0.1083 0.3462 0.6935 Sm
0.3485 0.6962 0.3349 Sm
0.3485 0.8038 0.8349 Sm
0.6515 0.1962 0.1651 Sm
0.6515 0.3038 0.6651 Sm
0.8917 0.6538 0.3065 Sm
0.8917 0.8462 0.8065 Sm
0.1260 0.6915 0.0564 Si
0.1260 0.8085 0.5564 Si
0.8740 0.1915 0.4436 Si
0.8740 0.3085 0.9436 Si
0.4079 0.2121 0.3851 Te
0.4079 0.2879 0.8851 Te
0.5921 0.7121 0.1149 Te
0.5921 0.7879 0.6149 Te
0.0225 0.1936 0.9217 O
0.0225 0.3064 0.4217 O
0.1247 0.6336 0.8720 O
0.1247 0.8664 0.3720 O
0.1615 0.5078 0.1842 O
0.1615 0.9922 0.6842 O
0.2509 0.6332 0.5895 O
0.2509 0.8668 0.0895 O
0.7491 0.1332 0.9105 O
0.7491 0.3668 0.4105 O
0.8385 0.0078 0.3158 O
0.8385 0.4922 0.8158 O
0.8753 0.1336 0.6280 O
0.8753 0.3664 0.1280 O
0.9775 0.6936 0.5783 O
0.9775 0.8064 0.0783 O
```

Entry 2:
Computed PXRD pattern
Compound: Tb3Mg3GaIrPt
Radiation: Cu Ka
Structure: DFT lattice parameters and positions (PBE)
Kinematic intensities with the Lorentz-polarization factor, no thermal factor.

Peak list (8 most intense, 2θ from 10° to 90°, sorted by position)
2θ/deg, I_rel
23.68, 42
27.41, 25
32.62, 58
35.50, 100
41.64, 35
43.12, 44
66.86, 28
76.99, 24

```
Tb3Mg3GaIrPt
1.0
7.5133 0.0000 0.0000
-3.7567 6.5067 0.0000
0.0000 0.0000 4.0199
Tb Mg Ga Ir Pt
3 3 1 1 1
Direct
0.0216 0.4194 0.0000 Tb
0.3979 0.9784 0.0000 Tb
0.5806 0.6021 0.0000 Tb
0.2467 0.2427 0.5000 Mg
0.7573 0.0040 0.5000 Mg
0.9960 0.7533 0.5000 Mg
0.6667 0.3333 0.5000 Ga
0.3333 0.6667 0.5000 Ir
0.0000 0.0000 0.0000 Pt
```

Entry 3:
Computed PXRD pattern
Compound: Ho2CdAsP
Radiation: Cu Ka
Structure: DFT lattice parameters and positions (PBE)
Kinematic intensities with the Lorentz-polarization factor, no thermal factor.

Peak list (8 most intense, 2θ from 10° to 90°, sorted by position)
2θ/deg, I_rel
26.86, 37
29.65, 31
30.43, 29
33.24, 28
33.76, 100
36.38, 49
39.17, 34
45.61, 27

```
Ho2CdAsP
1.0
1.9888 -8.9142 0.0000
1.9888 8.9142 0.0000
0.0000 0.0000 6.4023
Ho Cd As P
4 2 2 2
Direct
0.0235 0.9765 0.5000 Ho
0.2016 0.7984 0.1858 Ho
0.7984 0.2016 0.6858 Ho
0.9765 0.0235 0.0000 Ho
0.3873 0.6127 0.3001 Cd
0.6127 0.3873 0.8001 Cd
0.4170 0.5830 0.7141 As
0.5830 0.4170 0.2141 As
0.1888 0.8112 0.6302 P
0.8112 0.1888 0.1302 P
```

Entry 4:
Computed PXRD pattern
Compound: Al2Mo8C3N3
Radiation: Cu Ka
Structure: DFT lattice parameters and positions (PBE)
Kinematic intensities with the Lorentz-polarization factor, no thermal factor.

Peak list (8 most intense, 2θ from 10° to 90°, sorted by position)
2θ/deg, I_rel
35.53, 41
36.63, 36
37.80, 31
39.43, 65
41.35, 100
57.49, 26
62.27, 40
74.46, 30

```
Al2Mo8C3N3
1.0
2.9818 0.0000 0.0000
-1.4909 2.5823 0.0000
0.0000 0.0000 24.5348
Al Mo C N
2 8 3 3
Direct
0.3333 0.6667 0.2472 Al
0.6667 0.3333 0.7528 Al
0.0000 0.0000 0.1566 Mo
0.0000 0.0000 0.3349 Mo
0.0000 0.0000 0.6651 Mo
0.0000 0.0000 0.8434 Mo
0.3333 0.6667 0.0535 Mo
0.3333 0.6667 0.4437 Mo
0.6667 0.3333 0.5563 Mo
0.6667 0.3333 0.9465 Mo
0.0000 0.0000 0.0000 C
0.3333 0.6667 0.8912 C
0.6667 0.3333 0.1088 C
0.0000 0.0000 0.5000 N
0.3333 0.6667 0.6128 N
0.6667 0.3333 0.3872 N
```

Entry 5:
Computed PXRD pattern
Compound: LaNiSnSbPd
Radiation: Cu Ka
Structure: DFT lattice parameters and positions (PBE)
Kinematic intensities with the Lorentz-polarization factor, no thermal factor.

Peak list (8 most intense, 2θ from 10° to 90°, sorted by position)
2θ/deg, I_rel
32.41, 40
32.79, 100
39.80, 60
44.75, 20
47.91, 21
52.23, 20
57.55, 21
67.84, 27

```
LaNiSnSbPd
1.0
4.5296 0.0000 0.0000
0.0000 4.5296 0.0000
0.0000 0.0000 10.4562
La Ni Sn Sb Pd
2 2 2 2 2
Direct
0.2500 0.2500 0.2478 La
0.7500 0.7500 0.7522 La
0.2500 0.2500 0.6207 Ni
0.7500 0.7500 0.3793 Ni
0.2500 0.7500 0.5000 Sn
0.7500 0.2500 0.5000 Sn
0.2500 0.2500 0.8579 Sb
0.7500 0.7500 0.1421 Sb
0.2500 0.7500 0.0000 Pd
0.7500 0.2500 0.0000 Pd
```

Entry 6:
Computed PXRD pattern
Compound: BaIn5CuPt
Radiation: Cu Ka
Structure: DFT lattice parameters and positions (PBE)
Kinematic intensities with the Lorentz-polarization factor, no thermal factor.

Peak list (8 most intense, 2θ from 10° to 90°, sorted by position)
2θ/deg, I_rel
13.69, 28
30.94, 89
31.45, 78
39.22, 42
39.85, 100
40.05, 24
42.67, 28
57.63, 37

```
BaIn5CuPt
1.0
-2.2604 4.0002 5.4901
2.2604 -4.0002 5.4901
2.2604 4.0002 -5.4901
Ba In Cu Pt
1 5 1 1
Direct
0.0000 0.0000 0.0000 Ba
0.1486 0.3439 0.8047 In
0.4582 0.6525 0.8057 In
0.5078 0.0078 0.5000 In
0.5392 0.3439 0.1953 In
0.8468 0.6525 0.1943 In
0.7446 0.2446 0.5000 Cu
0.2642 0.7642 0.5000 Pt
```

What did the first record say?
Computed PXRD pattern
Compound: Sm2SiTeO4
Radiation: Cu Ka
Structure: DFT lattice parameters and positions (PBE)
Kinematic intensities with the Lorentz-polarization factor, no thermal factor.

Peak list (8 most intense, 2θ from 10° to 90°, sorted by position)
2θ/deg, I_rel
26.52, 100
28.12, 62
28.94, 69
30.04, 77
31.05, 35
32.26, 65
37.09, 43
44.54, 43

```
Sm2SiTeO4
1.0
9.7315 0.0000 0.0000
0.0000 6.3458 0.0000
-0.7437 0.0000 8.5887
Sm Si Te O
8 4 4 16
Direct
0.1083 0.1538 0.1935 Sm
0.1083 0.3462 0.6935 Sm
0.3485 0.6962 0.3349 Sm
0.3485 0.8038 0.8349 Sm
0.6515 0.1962 0.1651 Sm
0.6515 0.3038 0.6651 Sm
0.8917 0.6538 0.3065 Sm
0.8917 0.8462 0.8065 Sm
0.1260 0.6915 0.0564 Si
0.1260 0.8085 0.5564 Si
0.8740 0.1915 0.4436 Si
0.8740 0.3085 0.9436 Si
0.4079 0.2121 0.3851 Te
0.4079 0.2879 0.8851 Te
0.5921 0.7121 0.1149 Te
0.5921 0.7879 0.6149 Te
0.0225 0.1936 0.9217 O
0.0225 0.3064 0.4217 O
0.1247 0.6336 0.8720 O
0.1247 0.8664 0.3720 O
0.1615 0.5078 0.1842 O
0.1615 0.9922 0.6842 O
0.2509 0.6332 0.5895 O
0.2509 0.8668 0.0895 O
0.7491 0.1332 0.9105 O
0.7491 0.3668 0.4105 O
0.8385 0.0078 0.3158 O
0.8385 0.4922 0.8158 O
0.8753 0.1336 0.6280 O
0.8753 0.3664 0.1280 O
0.9775 0.6936 0.5783 O
0.9775 0.8064 0.0783 O
```